1.
Diffraction record for NaAl3Cr2O14. The powder X-ray diffraction pattern is computed, not measured: it uses DFT lattice parameters and positions (GGA+U) and Cu Kα, 1.54184 Å.

Peak list (10 most intense, 2θ from 15° to 90°, sorted by position)
17.63 deg, I = 60; 25.05 deg, I = 30; 29.45 deg, I = 100; 30.72 deg, I = 9; 38.95 deg, I = 23; 46.95 deg, I = 29; 51.42 deg, I = 19; 57.93 deg, I = 7; 61.03 deg, I = 18; 72.17 deg, I = 8

Structural model:
```
NaAl3Cr2O14
1.0
3.5542 2.0520 5.8216
-3.5542 2.0520 5.8216
0.0000 -4.1040 5.8216
Na Al Cr O
1 3 2 14
Cartesian
0.0000 0.0000 0.0000
-3.5542 0.0000 8.7324
-1.7771 1.0260 2.9108
1.7771 1.0260 2.9108
0.0000 0.0000 5.4342
0.0000 0.0000 12.0307
-2.3572 -1.3609 9.1336
0.0000 -1.5778 4.8182
-1.3664 0.7889 4.8182
0.0000 -2.7219 8.3313
-2.3572 1.3609 8.3313
0.0000 0.0000 7.0351
-1.3664 -0.7889 12.6467
1.3664 0.7889 4.8182
0.0000 0.0000 10.4297
2.3572 -1.3609 9.1336
0.0000 2.7219 9.1336
1.3664 -0.7889 12.6467
0.0000 1.5778 12.6467
2.3572 1.3609 8.3313
```

***

2.
Diffraction record for NaAlCr2O10. The powder X-ray diffraction pattern is computed, not measured: it uses DFT lattice parameters and positions (GGA+U) and Cu Kα, 1.54184 Å.

Peak list (10 most intense, 2θ from 15° to 90°, sorted by position)
20.03 deg, I = 45; 21.95 deg, I = 23; 23.28 deg, I = 20; 23.51 deg, I = 100; 30.51 deg, I = 13; 31.63 deg, I = 18; 32.49 deg, I = 18; 32.79 deg, I = 12; 33.78 deg, I = 25; 40.71 deg, I = 16

Structural model:
```
NaAlCr2O10
1.0
8.1095 -2.6535 0.0000
8.1095 2.6535 0.0000
-4.9559 0.0000 8.8645
Na Al Cr O
2 2 4 20
Cartesian
4.3925 1.6093 6.6484
6.8705 -1.6093 2.2161
1.5768 1.3268 4.4323
4.0547 -1.3268 0.0000
6.2615 1.1833 0.0071
7.4794 1.1833 4.4252
3.7836 -1.1833 4.4393
5.0015 -1.1833 8.8574
2.1430 1.1701 2.6289
1.9786 1.3104 7.2223
-1.9661 0.2783 8.7084
7.5411 1.4912 0.9337
6.1999 1.4912 3.4985
0.5119 -0.2783 4.2761
3.1542 0.3507 4.8433
6.8065 1.3104 6.0745
5.6322 -0.3507 0.4110
-0.3350 -1.1701 7.0612
11.5980 1.1701 1.8034
5.6308 0.3507 8.4535
4.4565 -1.3104 2.7901
8.1088 -0.3507 4.0213
10.7511 0.2783 4.5884
5.0631 -1.4912 5.3660
3.7219 -1.4912 7.9308
13.2291 -0.2783 0.1561
9.2844 -1.3104 1.6422
9.1200 -1.1701 6.2356
```

***

3.
Diffraction record for Na4Al3CrP8O28. The powder X-ray diffraction pattern is computed, not measured: it uses DFT lattice parameters and positions (GGA+U) and Cu Kα, 1.54184 Å.

Peak list (10 most intense, 2θ from 15° to 90°, sorted by position)
17.39 deg, I = 33; 19.60 deg, I = 13; 23.19 deg, I = 50; 26.21 deg, I = 33; 28.61 deg, I = 62; 28.96 deg, I = 42; 30.51 deg, I = 100; 35.19 deg, I = 13; 39.79 deg, I = 19; 49.90 deg, I = 13

Structural model:
```
Na4Al3CrP8O28
1.0
7.3112 0.0000 0.0000
-0.0200 7.8590 0.0000
-3.4855 -0.0273 8.7907
Na Al Cr P O
4 3 1 8 28
Cartesian
0.0000 0.0000 0.0000
-1.7387 4.2942 4.3697
-0.1102 3.8591 7.9655
1.6553 0.3817 3.5575
1.7065 4.0216 3.9820
3.7613 4.1646 8.3390
5.5215 0.0821 3.9475
-0.0522 0.2109 8.3914
-2.3633 1.7978 6.5627
-0.5702 2.4639 2.1860
0.4782 6.3711 5.7178
2.2117 5.7137 1.3688
2.0298 2.2032 6.5704
3.8093 2.1113 2.2292
3.4225 6.0165 5.7342
5.1792 6.0949 1.3477
-0.1405 2.5952 0.7266
-1.8740 1.6651 5.1239
-2.3363 3.2625 7.0438
-0.5648 0.9951 2.6581
-1.7342 0.8281 7.5509
0.1306 3.4051 3.1484
1.5350 4.7760 0.3788
-0.2115 7.3413 4.7678
2.1499 7.1973 0.9527
0.4716 4.9153 5.2219
0.0033 6.4289 7.1691
1.7716 5.5663 2.8178
0.9401 1.2936 7.0876
1.7625 2.5051 5.1041
3.5173 1.8709 0.7491
2.7622 3.0293 2.8048
3.7789 5.2711 1.2199
2.0313 6.8651 5.6310
3.2364 4.7549 4.8816
2.2304 3.4490 7.4450
3.9978 0.8224 3.0435
5.0416 7.3717 0.5009
3.3893 1.3285 6.6594
5.1896 2.9578 2.3374
4.4668 6.9512 5.1654
6.2216 5.1584 0.7837
3.7019 5.7149 7.2048
5.4437 6.3904 2.8199
```

***

4.
Diffraction record for Na4AlCr3P8O28. The powder X-ray diffraction pattern is computed, not measured: it uses DFT lattice parameters and positions (GGA+U) and Cu Kα, 1.54184 Å.

Peak list (10 most intense, 2θ from 15° to 90°, sorted by position)
17.22 deg, I = 48; 22.12 deg, I = 13; 22.93 deg, I = 38; 26.01 deg, I = 36; 28.37 deg, I = 50; 28.70 deg, I = 33; 30.16 deg, I = 100; 34.84 deg, I = 16; 39.37 deg, I = 13; 49.50 deg, I = 12

Structural model:
```
Na4AlCr3P8O28
1.0
7.3664 0.0000 0.0000
-0.0285 7.9505 0.0000
-3.5220 -0.0265 8.8872
Na Al Cr P O
4 1 3 8 28
Cartesian
0.0000 0.0000 0.0000
-1.7616 4.3479 4.4282
-0.1345 3.9212 8.0899
1.6549 0.3878 3.6389
3.7535 4.2137 8.4692
-0.0502 0.2176 8.4977
1.7075 4.0966 4.0607
5.5554 0.1151 4.0142
-0.6139 2.5121 2.2031
-2.3862 1.8545 6.6972
2.2032 5.8183 1.3834
0.4914 6.4507 5.8482
3.8040 2.1283 2.2278
2.0534 2.2101 6.6833
5.1796 6.1517 1.3705
3.4583 6.0704 5.8759
-0.1778 2.6656 0.7494
-1.9136 1.7846 5.2422
-2.3731 3.3066 7.2152
-0.5465 1.0329 2.6460
-1.7273 0.8654 7.6452
0.0301 3.4732 3.1870
1.4991 4.8552 0.4388
-0.1414 7.4382 4.8757
2.1517 7.2890 0.9234
0.4218 4.9828 5.3835
0.0047 6.5316 7.2931
1.7824 5.7398 2.8496
2.7388 3.0587 2.7517
0.9863 1.2798 7.2086
3.5567 1.8810 0.7428
1.7926 2.4624 5.1988
3.7646 5.3507 1.2309
2.0586 6.8944 5.7563
3.9371 0.8435 3.0662
2.2326 3.4793 7.5289
5.0596 7.4497 0.5525
3.3323 4.8152 4.9966
3.4299 1.3576 6.7973
5.1878 2.9577 2.3648
6.1981 5.1992 0.7889
5.4509 6.4032 2.8563
3.7060 5.7590 7.3488
4.5104 7.0281 5.3584
```

***

5.
Diffraction record for Na2AlCrP4O14. The powder X-ray diffraction pattern is computed, not measured: it uses DFT lattice parameters and positions (GGA+U) and Cu Kα, 1.54184 Å.

Peak list (10 most intense, 2θ from 15° to 90°, sorted by position)
17.31 deg, I = 40; 19.49 deg, I = 12; 23.06 deg, I = 43; 26.11 deg, I = 40; 28.50 deg, I = 54; 28.83 deg, I = 37; 30.35 deg, I = 100; 35.03 deg, I = 14; 39.60 deg, I = 18; 49.69 deg, I = 13

Structural model:
```
Na2AlCrP4O14
1.0
7.3396 0.0000 0.0000
0.0000 7.8973 0.0000
-3.5025 0.0000 8.8412
Na Al Cr P O
4 2 2 8 28
Cartesian
-0.0539 0.0000 4.0178
-1.8070 4.3673 8.4436
5.6442 0.4186 0.3976
3.8911 3.9486 4.8234
1.7681 0.1294 0.0111
2.0691 4.0780 8.8301
-0.0002 4.2141 4.4505
3.8373 0.2655 4.3907
0.5270 2.4902 1.7613
-1.1854 1.8366 6.2499
2.0698 6.1912 2.5981
0.3677 6.1091 7.0868
3.4694 2.1605 1.7544
1.7674 2.2426 6.2431
5.0225 5.7852 2.5914
3.3102 6.4389 7.0799
-0.1841 3.4556 0.8271
-1.8123 0.8758 5.2502
0.5266 1.0346 1.2576
-1.2601 3.3155 5.8141
0.0853 2.5531 3.2256
-1.6555 1.6863 7.6903
0.9992 5.2574 3.1140
1.8208 6.4942 1.1280
0.0809 5.8609 5.6034
-0.6661 7.0450 7.6652
2.0755 2.9973 1.6402
0.3835 1.4043 6.1236
2.2096 7.4502 3.4719
3.2911 0.8746 0.9351
0.5461 4.8233 7.9061
1.6275 3.5015 5.3693
3.4537 5.3530 2.7176
1.7617 6.9459 7.2010
4.5033 3.0964 1.1761
3.7562 1.9123 3.2378
2.0164 2.5455 7.7133
2.8379 1.3087 5.7272
5.4927 5.6349 1.1509
3.7519 6.5017 5.6156
5.0973 7.2641 3.0272
3.3105 4.9832 7.5837
5.6494 4.8244 3.5911
4.0213 7.4043 8.0141
```